Theoretical powder diffraction line list of Ni5SbP6O24 for copper Kα, from DFT lattice parameters and positions (GGA+U).
No peak broadening, texture or thermal motion is included.

Most intense lines, 2θ = 5–70°, in order of rising 2θ:
(1 1 0), 20.6 deg, rel. 100
(1 0 4), 20.9 deg, rel. 21
(1 1 3), 24.3 deg, rel. 71
(1 1 6), 33.2 deg, rel. 61
(3 0 0), 36.0 deg, rel. 43
(1 2 8), 47.6 deg, rel. 36
(2 2 6), 49.8 deg, rel. 24
(4 1 0), 56.4 deg, rel. 24
(4 -1 8), 56.9 deg, rel. 17
(1 4 6), 63.0 deg, rel. 19

Cell and atoms:
a b c (Å): 8.6354 8.6354 20.7135
angles (deg): 90.00 90.00 120.00
Space group R3 (No. 146, hexagonal axes)
Symmetry-distinct sites (fractional):
Ni (0.0000, 0.0000, 0.0000) x3
Ni (0.0000, 0.0000, 0.1361) x3
Ni (0.0000, 0.0000, 0.3548) x3
Ni (0.0000, 0.0000, 0.4948) x3
Ni (0.0000, 0.0000, 0.6343) x3
Sb (0.0000, 0.0000, 0.8533) x3
P (0.0074, 0.7040, 0.2424) x9
P (0.0365, 0.3637, 0.4108) x9
O (0.0105, 0.8312, 0.5666) x9
O (0.0260, 0.8433, 0.9210) x9
O (0.0279, 0.8114, 0.3043) x9
O (0.1360, 0.4676, 0.4741) x9
O (0.1428, 0.6791, 0.8512) x9
O (0.1588, 0.4495, 0.3522) x9
O (0.1618, 0.4901, 0.0897) x9
O (0.1738, 0.4701, 0.7333) x9